[1]
Diffraction record for KGe6Pd12. The powder X-ray diffraction pattern is computed, not measured: it uses DFT lattice parameters and positions (PBE) and copper Kα.

The 10 most intense peaks (10 to 90 degrees two-theta), by intensity:
41.20°, d = 2.191 Å, I = 1000, hkl 0 3 3
33.82°, d = 2.650 Å, I = 962, hkl 1 3 1
13.47°, d = 6.575 Å, I = 513, hkl 1 0 1
40.54°, d = 2.225 Å, I = 492, hkl 3 2 1
41.56°, d = 2.173 Å, I = 486, hkl 0 4 2
50.06°, d = 1.822 Å, I = 459, hkl 5 0 2
34.57°, d = 2.594 Å, I = 393, hkl 1 1 3
15.30°, d = 5.792 Å, I = 354, hkl 1 1 0
62.99°, d = 1.476 Å, I = 319, hkl 0 5 4
47.07°, d = 1.931 Å, I = 235, hkl 3 3 0

Structure:
Cell lengths 11.5847, 11.5847, 8.7047 Å; angles 90.00, 90.00, 120.00 degrees
Space group R-3m (No. 166, hexagonal axes)
Asymmetric unit:
K  0.0000  0.0000  0.0000
Ge  0.0429  0.5215  0.2742
Pd  0.0000  0.3733  0.5000
Pd  0.0891  0.1781  0.3518

***

[2]
Diffraction record for NpZn2In. The powder X-ray diffraction pattern is computed, not measured: it uses DFT lattice parameters and positions (PBE) and copper Kα.

The 10 most intense peaks (10 to 90 degrees two-theta), by intensity:
36.90°, d = 2.436 Å, I = 1000, hkl 2 2 0
66.48°, d = 1.406 Å, I = 351, hkl 4 2 2
25.86°, d = 3.445 Å, I = 214, hkl 2 0 0
53.17°, d = 1.723 Å, I = 174, hkl 4 0 0
22.35°, d = 3.978 Å, I = 122, hkl 1 1 1
78.53°, d = 1.218 Å, I = 109, hkl 4 4 0
60.05°, d = 1.541 Å, I = 90, hkl 4 2 0
43.56°, d = 2.078 Å, I = 71, hkl 3 1 1
45.61°, d = 1.989 Å, I = 65, hkl 2 2 2
84.34°, d = 1.148 Å, I = 47, hkl 6 0 0

Structure:
Cell lengths 6.8903, 6.8903, 6.8903 Å; angles 90.00, 90.00, 90.00 degrees
Space group Fm-3m (No. 225)
Asymmetric unit:
Np  0.0000  0.0000  0.0000
Zn  0.2500  0.2500  0.2500
In  0.0000  0.0000  0.5000

***

[3]
Diffraction record for KMg5Cd7. The powder X-ray diffraction pattern is computed, not measured: it uses DFT lattice parameters and positions (PBE) and copper Kα.

The 10 most intense peaks (10 to 90 degrees two-theta), by intensity:
34.95°, d = 2.567 Å, I = 1000, hkl 0 4 0
29.39°, d = 3.039 Å, I = 886, hkl 2 0 0
35.18°, d = 2.551 Å, I = 846, hkl 1 2 3
38.80°, d = 2.321 Å, I = 845, hkl 2 2 2
29.95°, d = 2.984 Å, I = 690, hkl 1 3 0
12.31°, d = 7.193 Å, I = 664, hkl 0 1 1
39.11°, d = 2.303 Å, I = 582, hkl 1 4 1
24.76°, d = 3.596 Å, I = 534, hkl 0 2 2
39.72°, d = 2.269 Å, I = 492, hkl 1 1 4
30.41°, d = 2.939 Å, I = 347, hkl 1 0 3

Structure:
Cell lengths 6.0774, 10.2749, 10.0730 Å; angles 90.00, 90.00, 90.00 degrees
Space group Imm2 (No. 44)
Asymmetric unit:
K  0.0000  0.0000  0.0000
Mg  0.0000  0.5000  0.2731
Mg  0.2480  0.2533  0.7470
Cd  0.0000  0.0000  0.3506
Cd  0.0000  0.0000  0.6544
Cd  0.0000  0.2857  0.4945
Cd  0.0000  0.3508  0.0002
Cd  0.0000  0.5000  0.7183